1.
Starting from a PBE-relaxed structure, the XRD peak list of Ba2VN3 was calculated for Cu Kα X-rays.
Lines closer than 0.1° are merged.

Top 10 peaks for 2θ from 15° to 90°, in order of rising 2θ:
| d [Å] | I/Imax |
| --- | --- |
| 4.118 | 30 |
| 3.368 | 45 |
| 3.272 | 33 |
| 3.169 | 61 |
| 2.970 | 77 |
| 2.922 | 100 |
| 2.860 | 32 |
| 2.784 | 27 |
| 2.390 | 30 |
| 2.199 | 28 |

Crystal structure
Unit cell a=6.574 b=6.574 c=13.088 alpha=90.00 beta=90.00 gamma=126.28
Sites, in units of the cell vectors:
Ba1 0.056 0.944 0.855
Ba2 0.142 0.858 0.422
Ba3 0.358 0.642 0.922
Ba4 0.444 0.556 0.355
Ba5 0.556 0.444 0.645
Ba6 0.642 0.358 0.078
Ba7 0.858 0.142 0.578
Ba8 0.944 0.056 0.145
V1 0.244 0.756 0.668
V2 0.256 0.744 0.168
V3 0.744 0.256 0.832
V4 0.756 0.244 0.332
N1 0.024 0.476 0.750
N2 0.095 0.905 0.634
N3 0.167 0.833 0.057
N4 0.333 0.667 0.557
N5 0.405 0.595 0.134
N6 0.476 0.024 0.250
N7 0.524 0.976 0.750
N8 0.595 0.405 0.866
N9 0.667 0.333 0.443
N10 0.833 0.167 0.943
N11 0.905 0.095 0.366
N12 0.976 0.524 0.250



2.
Starting from a PBE-relaxed structure, the XRD peak list of Ho2Se3O9 was calculated for Cu Kα X-rays.
Lines closer than 0.1° are merged.

Top 10 peaks for 2θ from 15° to 90°, in order of rising 2θ:
| d [Å] | I/Imax |
| --- | --- |
| 3.547 | 52 |
| 3.415 | 45 |
| 3.151 | 57 |
| 3.088 | 38 |
| 3.075 | 61 |
| 2.917 | 27 |
| 2.813 | 100 |
| 2.596 | 46 |
| 1.986 | 28 |
| 1.968 | 40 |

Crystal structure
Unit cell a=8.221 b=14.031 c=6.829 alpha=90.00 beta=90.00 gamma=90.00
Sites, in units of the cell vectors:
Ho1 0.201 0.061 0.179
Ho2 0.201 0.439 0.179
Ho3 0.299 0.561 0.679
Ho4 0.299 0.939 0.679
Ho5 0.701 0.061 0.321
Ho6 0.701 0.439 0.321
Ho7 0.799 0.561 0.821
Ho8 0.799 0.939 0.821
Se1 0.045 0.750 0.906
Se2 0.047 0.126 0.677
Se3 0.047 0.374 0.677
Se4 0.453 0.626 0.177
Se5 0.453 0.874 0.177
Se6 0.455 0.250 0.406
Se7 0.545 0.750 0.594
Se8 0.547 0.126 0.823
Se9 0.547 0.374 0.823
Se10 0.953 0.626 0.323
Se11 0.953 0.874 0.323
Se12 0.955 0.250 0.094
O1 0.054 0.650 0.756
O2 0.054 0.850 0.756
O3 0.073 0.038 0.855
O4 0.073 0.462 0.855
O5 0.127 0.575 0.409
O6 0.127 0.925 0.409
O7 0.162 0.250 0.066
O8 0.207 0.095 0.524
O9 0.207 0.405 0.524
O10 0.293 0.595 0.024
O11 0.293 0.905 0.024
O12 0.338 0.750 0.566
O13 0.373 0.075 0.909
O14 0.373 0.425 0.909
O15 0.427 0.538 0.355
O16 0.427 0.962 0.355
O17 0.446 0.150 0.256
O18 0.446 0.350 0.256
O19 0.554 0.650 0.744
O20 0.554 0.850 0.744
O21 0.573 0.038 0.645
O22 0.573 0.462 0.645
O23 0.627 0.575 0.091
O24 0.627 0.925 0.091
O25 0.662 0.250 0.434
O26 0.707 0.095 0.976
O27 0.707 0.405 0.976
O28 0.793 0.595 0.476
O29 0.793 0.905 0.476
O30 0.838 0.750 0.934
O31 0.873 0.075 0.591
O32 0.873 0.425 0.591
O33 0.927 0.538 0.145
O34 0.927 0.962 0.145
O35 0.946 0.150 0.244
O36 0.946 0.350 0.244



3.
Starting from a PBE-relaxed structure, the XRD peak list of KIn3 was calculated for Cu Kα X-rays.
Lines closer than 0.1° are merged.

Top 10 peaks for 2θ from 15° to 90°, in order of rising 2θ:
| d [Å] | I/Imax |
| --- | --- |
| 4.517 | 8 |
| 3.912 | 4 |
| 2.766 | 100 |
| 2.359 | 5 |
| 1.956 | 18 |
| 1.795 | 2 |
| 1.597 | 36 |
| 1.383 | 11 |
| 1.237 | 15 |
| 1.129 | 4 |

Crystal structure
Unit cell a=7.824 b=7.824 c=7.824 alpha=90.00 beta=90.00 gamma=90.00
Sites, in units of the cell vectors:
K1 0.000 0.000 0.000
K2 0.000 0.500 0.500
K3 0.500 0.000 0.500
K4 0.500 0.500 0.000
In1 0.000 0.000 0.500
In2 0.000 0.500 0.000
In3 0.250 0.250 0.250
In4 0.250 0.250 0.750
In5 0.250 0.750 0.250
In6 0.250 0.750 0.750
In7 0.500 0.000 0.000
In8 0.500 0.500 0.500
In9 0.750 0.250 0.250
In10 0.750 0.250 0.750
In11 0.750 0.750 0.250
In12 0.750 0.750 0.750



4.
Starting from a PBE-relaxed structure, the XRD peak list of Zr2Ni was calculated for Cu Kα X-rays.
Lines closer than 0.1° are merged.

Top 10 peaks for 2θ from 15° to 90°, in order of rising 2θ:
| d [Å] | I/Imax |
| --- | --- |
| 2.631 | 10 |
| 2.546 | 100 |
| 2.300 | 10 |
| 2.284 | 24 |
| 2.058 | 35 |
| 2.046 | 30 |
| 1.512 | 16 |
| 1.502 | 19 |
| 1.384 | 10 |
| 1.325 | 19 |

Crystal structure
Unit cell a=6.506 b=6.506 c=5.263 alpha=90.00 beta=90.00 gamma=90.00
Sites, in units of the cell vectors:
Zr1 0.163 0.337 0.000
Zr2 0.163 0.663 0.500
Zr3 0.337 0.163 0.500
Zr4 0.337 0.837 0.000
Zr5 0.663 0.163 0.000
Zr6 0.663 0.837 0.500
Zr7 0.837 0.337 0.500
Zr8 0.837 0.663 0.000
Ni1 0.000 0.000 0.250
Ni2 0.000 0.000 0.750
Ni3 0.500 0.500 0.250
Ni4 0.500 0.500 0.750



5.
Starting from a PBE-relaxed structure, the XRD peak list of K2CuS2O14 was calculated for Cu Kα X-rays.
Lines closer than 0.1° are merged.

Top 10 peaks for 2θ from 15° to 90°, in order of rising 2θ:
| d [Å] | I/Imax |
| --- | --- |
| 4.557 | 25 |
| 4.107 | 100 |
| 3.835 | 86 |
| 3.704 | 23 |
| 3.631 | 27 |
| 3.537 | 45 |
| 3.030 | 30 |
| 2.672 | 31 |
| 2.279 | 23 |
| 2.175 | 25 |

Crystal structure
Unit cell a=6.350 b=13.448 c=7.591 alpha=90.00 beta=102.59 gamma=90.00
Sites, in units of the cell vectors:
K1 0.150 0.155 0.371
K2 0.150 0.345 0.871
K3 0.850 0.655 0.129
K4 0.850 0.845 0.629
Cu1 0.500 0.000 0.000
Cu2 0.500 0.500 0.500
S1 0.258 0.645 0.908
S2 0.258 0.855 0.408
S3 0.742 0.145 0.592
S4 0.742 0.355 0.092
O1 0.087 0.719 0.880
O2 0.087 0.781 0.380
O3 0.161 0.556 0.728
O4 0.161 0.944 0.228
O5 0.229 0.577 0.576
O6 0.229 0.923 0.076
O7 0.259 0.579 0.061
O8 0.259 0.921 0.561
O9 0.319 0.121 0.909
O10 0.319 0.379 0.409
O11 0.369 0.120 0.087
O12 0.369 0.380 0.587
O13 0.463 0.676 0.876
O14 0.463 0.824 0.376
O15 0.537 0.176 0.624
O16 0.537 0.324 0.124
O17 0.631 0.620 0.413
O18 0.631 0.880 0.913
O19 0.681 0.621 0.591
O20 0.681 0.879 0.091
O21 0.741 0.079 0.439
O22 0.741 0.421 0.939
O23 0.771 0.077 0.924
O24 0.771 0.423 0.424
O25 0.839 0.056 0.772
O26 0.839 0.444 0.272
O27 0.913 0.219 0.620
O28 0.913 0.281 0.120



6.
Starting from a PBE-relaxed structure, the XRD peak list of BaBi2Br2O2 was calculated for Cu Kα X-rays.
Lines closer than 0.1° are merged.

Top 10 peaks for 2θ from 15° to 90°, in order of rising 2θ:
| d [Å] | I/Imax |
| --- | --- |
| 3.415 | 75 |
| 3.022 | 100 |
| 2.862 | 52 |
| 2.817 | 21 |
| 2.353 | 18 |
| 2.024 | 24 |
| 1.944 | 15 |
| 1.878 | 13 |
| 1.741 | 23 |
| 1.682 | 36 |

Crystal structure
Unit cell a=4.048 b=4.048 c=31.800 alpha=90.00 beta=90.00 gamma=90.00
Sites, in units of the cell vectors:
Ba1 0.000 0.000 0.000
Ba2 0.500 0.500 0.500
Bi1 0.000 0.000 0.402
Bi2 0.000 0.000 0.823
Bi3 0.500 0.500 0.323
Bi4 0.500 0.500 0.902
Br1 0.000 0.000 0.272
Br2 0.000 0.000 0.550
Br3 0.500 0.500 0.050
Br4 0.500 0.500 0.772
O1 0.000 0.500 0.362
O2 0.000 0.500 0.862
O3 0.500 0.000 0.362
O4 0.500 0.000 0.862



7.
Starting from a PBE-relaxed structure, the XRD peak list of HoNiAs was calculated for Cu Kα X-rays.
Lines closer than 0.1° are merged.

Top 10 peaks for 2θ from 15° to 90°, in order of rising 2θ:
| d [Å] | I/Imax |
| --- | --- |
| 3.498 | 17 |
| 2.591 | 100 |
| 2.019 | 41 |
| 1.929 | 11 |
| 1.689 | 5 |
| 1.593 | 23 |
| 1.395 | 23 |
| 1.251 | 20 |
| 1.207 | 8 |
| 1.166 | 7 |

Crystal structure
Unit cell a=4.039 b=4.039 c=15.433 alpha=90.00 beta=90.00 gamma=120.00
Sites, in units of the cell vectors:
Ho1 0.000 0.000 0.000
Ho2 0.000 0.000 0.250
Ho3 0.000 0.000 0.500
Ho4 0.000 0.000 0.750
Ni1 0.333 0.667 0.135
Ni2 0.333 0.667 0.365
Ni3 0.667 0.333 0.635
Ni4 0.667 0.333 0.865
As1 0.333 0.667 0.620
As2 0.333 0.667 0.880
As3 0.667 0.333 0.120
As4 0.667 0.333 0.380



8.
Starting from a PBE-relaxed structure, the XRD peak list of SmAgO2 was calculated for Cu Kα X-rays.
Lines closer than 0.1° are merged.

Top 10 peaks for 2θ from 15° to 90°, in order of rising 2θ:
| d [Å] | I/Imax |
| --- | --- |
| 3.131 | 31 |
| 3.003 | 100 |
| 2.627 | 51 |
| 1.887 | 29 |
| 1.830 | 28 |
| 1.616 | 17 |
| 1.580 | 25 |
| 1.562 | 14 |
| 1.189 | 10 |
| 1.188 | 11 |

Crystal structure
Unit cell a=3.659 b=3.659 c=18.784 alpha=90.00 beta=90.00 gamma=120.00
Sites, in units of the cell vectors:
Sm1 0.000 0.000 0.000
Sm2 0.333 0.667 0.667
Sm3 0.667 0.333 0.333
Ag1 0.000 0.000 0.500
Ag2 0.333 0.667 0.167
Ag3 0.667 0.333 0.833
O1 0.000 0.000 0.389
O2 0.000 0.000 0.611
O3 0.333 0.667 0.056
O4 0.333 0.667 0.277
O5 0.667 0.333 0.723
O6 0.667 0.333 0.944



9.
Starting from a PBE-relaxed structure, the XRD peak list of CsUTe3Au was calculated for Cu Kα X-rays.
Lines closer than 0.1° are merged.

Top 10 peaks for 2θ from 15° to 90°, in order of rising 2θ:
| d [Å] | I/Imax |
| --- | --- |
| 3.465 | 26 |
| 3.361 | 100 |
| 2.990 | 91 |
| 2.833 | 64 |
| 2.468 | 67 |
| 2.207 | 43 |
| 2.138 | 26 |
| 1.906 | 35 |
| 1.885 | 28 |
| 1.741 | 26 |

Crystal structure
Unit cell a=9.024 b=9.024 c=11.333 alpha=90.00 beta=90.00 gamma=151.69
Sites, in units of the cell vectors:
Cs1 0.249 0.751 0.750
Cs2 0.751 0.249 0.250
U1 0.000 0.000 0.000
U2 0.000 0.000 0.500
Te1 0.065 0.935 0.250
Te2 0.379 0.621 0.045
Te3 0.379 0.621 0.455
Te4 0.621 0.379 0.545
Te5 0.621 0.379 0.955
Te6 0.935 0.065 0.750
Au1 0.463 0.537 0.250
Au2 0.537 0.463 0.750